Entry 1:
Diffraction record for MnBiOsO6. The XRD peak list is calculated, not measured: it uses DFT lattice parameters and positions (GGA+U) and CuKα.

Cell and atoms:
Unit cell a=4.895 b=4.895 c=9.917 alpha=90.00 beta=90.00 gamma=90.00
Space group P4_2nm (No. 102)
Unique sites:
Mn (0.000, 0.000, 0.000) [2 per cell]
Bi (0.000, 0.000, 0.333) [2 per cell]
Os (0.000, 0.000, 0.666) [2 per cell]
O (0.177, 0.177, 0.818) [4 per cell]
O (0.192, 0.192, 0.526) [4 per cell]
O (0.225, 0.225, 0.160) [4 per cell]

The 10 most intense peaks (2θ from 5° to 70°), in order of rising 2θ:
index	2θ/deg	I_rel
1 0 1	20.23	33
1 1 0	25.74	100
1 1 2	31.52	11
1 0 3	32.69	90
2 0 0	36.72	26
2 1 3	49.97	69
2 2 0	52.91	17
3 1 0	59.74	17
1 1 6	62.25	17
3 0 3	63.59	19

Entry 2:
Diffraction record for Sr2MnBiPbO6. The XRD peak list is calculated, not measured: it uses DFT lattice parameters and positions (GGA+U) and CuKα.

Cell and atoms:
Unit cell a=5.583 b=5.473 c=12.399 alpha=90.00 beta=102.76 gamma=90.00
Space group P2 (No. 3)
Unique sites:
Sr (0.068, 0.000, 0.149) [2 per cell]
Sr (0.423, 0.501, 0.851) [2 per cell]
Mn (0.000, 0.501, 0.000) [1 per cell]
Mn (0.500, 0.001, 0.000) [1 per cell]
Bi (0.208, 0.468, 0.369) [2 per cell]
Pb (0.331, 0.978, 0.633) [2 per cell]
O (0.063, 0.512, 0.197) [2 per cell]
O (0.252, 0.251, 0.006) [2 per cell]
O (0.253, 0.749, 0.006) [2 per cell]
O (0.267, 0.085, 0.353) [2 per cell]
O (0.384, 0.003, 0.817) [2 per cell]
O (0.429, 0.564, 0.643) [2 per cell]

The 10 most intense peaks (2θ from 5° to 70°), in order of rising 2θ:
index	2θ/deg	I_rel
0 0 1	7.31	13
0 0 3	22.05	14
1 1 -2	25.33	72
1 1 2	29.38	100
0 0 4	29.55	25
2 0 -1	32.06	35
0 2 0	32.72	34
0 2 4	44.66	19
2 2 -1	46.47	28
1 3 2	56.37	19

Entry 3:
Diffraction record for MnBiPtO6. The XRD peak list is calculated, not measured: it uses DFT lattice parameters and positions (GGA+U) and CuKα.

Cell and atoms:
Unit cell a=4.801 b=4.801 c=9.650 alpha=90.00 beta=90.00 gamma=90.00
Space group P4_2nm (No. 102)
Unique sites:
Mn (0.000, 0.000, 0.000) [2 per cell]
Bi (0.000, 0.000, 0.334) [2 per cell]
Pt (0.000, 0.000, 0.667) [2 per cell]
O (0.178, 0.178, 0.838) [4 per cell]
O (0.194, 0.194, 0.512) [4 per cell]
O (0.200, 0.200, 0.158) [4 per cell]

The 10 most intense peaks (2θ from 5° to 70°), in order of rising 2θ:
index	2θ/deg	I_rel
1 0 1	20.66	31
1 1 0	26.25	100
1 1 2	32.24	11
1 0 3	33.53	85
2 0 0	37.46	26
2 1 3	51.15	68
2 2 0	54.02	16
3 1 0	61.03	16
1 1 6	64.06	16
3 0 3	65.10	20

Entry 4:
Diffraction record for MnBiRhO6. The XRD peak list is calculated, not measured: it uses DFT lattice parameters and positions (GGA+U) and CuKα.

Cell and atoms:
Unit cell a=4.789 b=4.789 c=9.585 alpha=90.00 beta=90.00 gamma=90.00
Space group P4_2nm (No. 102)
Unique sites:
Mn (0.000, 0.000, 0.000) [2 per cell]
Bi (0.000, 0.000, 0.666) [2 per cell]
Rh (0.000, 0.000, 0.334) [2 per cell]
O (0.178, 0.178, 0.162) [4 per cell]
O (0.195, 0.195, 0.485) [4 per cell]
O (0.202, 0.202, 0.843) [4 per cell]

The 10 most intense peaks (2θ from 5° to 70°), in order of rising 2θ:
index	2θ/deg	I_rel
1 0 1	20.73	37
1 1 0	26.32	100
1 1 2	32.37	14
1 0 3	33.72	80
2 0 0	37.56	27
2 1 3	51.36	71
2 2 0	54.17	19
3 1 0	61.20	15
1 1 6	64.50	20
3 0 3	65.34	24

Entry 5:
Diffraction record for SrMnBiSbO6. The XRD peak list is calculated, not measured: it uses DFT lattice parameters and positions (GGA+U) and CuKα.

Cell and atoms:
Unit cell a=5.647 b=5.942 c=9.949 alpha=90.00 beta=124.41 gamma=90.00
Space group Pc (No. 7)
Unique sites:
Sr (0.000, 0.207, 0.000) [2 per cell]
Mn (0.761, 0.241, 0.252) [2 per cell]
Bi (0.541, 0.312, 0.526) [2 per cell]
Sb (0.259, 0.243, 0.745) [2 per cell]
O (0.118, 0.214, 0.506) [2 per cell]
O (0.426, 0.295, 0.983) [2 per cell]
O (0.489, 0.039, 0.294) [2 per cell]
O (0.580, 0.429, 0.762) [2 per cell]
O (0.919, 0.058, 0.701) [2 per cell]
O (0.997, 0.488, 0.187) [2 per cell]

The 10 most intense peaks (2θ from 5° to 70°), in order of rising 2θ:
index	2θ/deg	I_rel
0 1 1	18.43	23
1 0 -2	19.08	13
1 1 -2	24.30	12
0 2 0	30.08	22
1 1 -3	30.85	100
2 0 -2	31.69	26
0 0 4	44.14	13
2 2 -2	44.26	22
1 3 0	50.05	12
3 1 -5	56.00	13

Entry 6:
Diffraction record for Sc2MnBiO6. The XRD peak list is calculated, not measured: it uses DFT lattice parameters and positions (GGA+U) and CuKα.

Cell and atoms:
Unit cell a=5.435 b=5.487 c=5.757 alpha=61.69 beta=89.36 gamma=61.82
Space group P1 (No. 1)
Unique sites:
Sc (0.000, 0.000, 0.000) [1 per cell]
Sc (0.490, 0.016, 0.469) [1 per cell]
Mn (0.796, 0.410, 0.379) [1 per cell]
Bi (0.273, 0.456, 0.823) [1 per cell]
O (0.072, 0.531, 0.186) [1 per cell]
O (0.213, 0.950, 0.696) [1 per cell]
O (0.367, 0.930, 0.183) [1 per cell]
O (0.639, 0.182, 0.660) [1 per cell]
O (0.710, 0.224, 0.183) [1 per cell]
O (0.839, 0.535, 0.647) [1 per cell]

The 10 most intense peaks (2θ from 5° to 70°), in order of rising 2θ:
index	2θ/deg	I_rel
0 0 1	18.20	37
0 1 0	21.70	41
1 1 1	22.44	39
1 0 -1	22.63	38
1 0 1	30.12	59
1 1 -1	31.17	100
-1 1 1	31.94	50
1 2 1	32.66	43
2 1 0	32.99	41
1 2 0	37.45	39

Entry 7:
Diffraction record for SrMn2BiO6. The XRD peak list is calculated, not measured: it uses DFT lattice parameters and positions (GGA+U) and CuKα.

Cell and atoms:
Unit cell a=7.869 b=7.807 c=5.584 alpha=90.00 beta=134.26 gamma=90.00
Space group Cm (No. 8)
Unique sites:
Sr (0.000, 0.000, 0.000) [2 per cell]
Mn (0.009, 0.254, 0.503) [4 per cell]
Bi (0.433, 0.000, 0.945) [2 per cell]
O (0.019, 0.000, 0.548) [2 per cell]
O (0.049, 0.500, 0.493) [2 per cell]
O (0.273, 0.210, 0.523) [4 per cell]
O (0.276, 0.242, 0.009) [4 per cell]

The 10 most intense peaks (2θ from 5° to 70°), in order of rising 2θ:
index	2θ/deg	I_rel
1 1 0	19.43	32
1 1 -1	19.55	22
2 0 -1	22.60	18
2 0 0	31.76	29
2 0 -2	32.05	100
2 2 -1	32.31	66
2 2 -2	39.69	20
0 0 2	45.36	20
0 4 0	46.53	20
4 2 -3	57.45	24

Entry 8:
Diffraction record for Sr3Ti2Mn2BiO12. The XRD peak list is calculated, not measured: it uses DFT lattice parameters and positions (GGA+U) and CuKα.

Cell and atoms:
Unit cell a=5.5554 b=5.5554 c=27.0498 alpha=90.00 beta=90.00 gamma=120.00
Space group R-3m (No. 166, hexagonal axes)
Unique sites:
Sr (0.0000, 0.0000, 0.0000) [3 per cell]
Sr (0.0000, 0.0000, 0.2482) [6 per cell]
Ti (0.0000, 0.0000, 0.3754) [6 per cell]
Mn (0.0000, 0.0000, 0.1253) [6 per cell]
Bi (0.0000, 0.0000, 0.5000) [3 per cell]
O (0.0000, 0.5000, 0.0000) [9 per cell]
O (0.0000, 0.5000, 0.5000) [9 per cell]
O (0.0048, 0.5024, 0.2485) [18 per cell]

The 10 most intense peaks (2θ from 5° to 70°), in order of rising 2θ:
index	2θ/deg	I_rel
0 0 3	9.81	24
1 0 4	22.68	22
1 1 0	32.23	100
0 1 8	32.36	99
0 2 4	39.77	32
2 0 8	46.32	71
3 0 0	57.52	58
1 0 16	57.81	19
2 2 0	67.43	21
0 2 16	67.75	20

Entry 9:
Diffraction record for MnVBiO5. The XRD peak list is calculated, not measured: it uses DFT lattice parameters and positions (GGA+U) and CuKα.

Cell and atoms:
Unit cell a=5.474 b=7.047 c=7.127 alpha=110.07 beta=107.09 gamma=97.02
Space group P-1 (No. 2)
Unique sites:
Mn (0.171, 0.129, 0.271) [2 per cell]
V (0.161, 0.681, 0.387) [2 per cell]
Bi (0.393, 0.742, 0.959) [2 per cell]
O (0.067, 0.414, 0.214) [2 per cell]
O (0.112, 0.253, 0.568) [2 per cell]
O (0.237, 0.004, 0.951) [2 per cell]
O (0.275, 0.837, 0.267) [2 per cell]
O (0.411, 0.719, 0.628) [2 per cell]

The 10 most intense peaks (2θ from 5° to 70°), in order of rising 2θ:
index	2θ/deg	I_rel
0 0 1	14.18	100
1 0 -1	18.14	43
1 -1 0	19.44	48
1 0 1	26.33	81
1 0 -2	27.63	95
0 2 0	27.83	72
1 -2 0	29.02	52
0 2 -2	30.98	47
1 2 -1	32.25	44
1 0 -3	40.43	73